# Li4Co3O7
Simulated X-ray diffraction stick pattern, Cu Kα (λ = 1.5418 Å). Input: a structure optimized by DFT (GGA+U).
No peak broadening, texture or thermal motion is included.

a = 4.9176 Å, b = 5.7441 Å, c = 8.5840 Å
α = 91.05°, β = 95.72°, γ = 106.47°
Sites, in units of the cell vectors:
Li1 0.0000 0.0000 0.0000
Li2 0.0000 0.5000 0.0000
Li3 0.1420 0.2906 0.2849
Li4 0.2837 0.5718 0.5733
Li5 0.4162 0.8502 0.8583
Li6 0.5838 0.1498 0.1417
Li7 0.7163 0.4282 0.4267
Li8 0.8580 0.7094 0.7151
Co1 0.1427 0.7850 0.2846
Co2 0.2861 0.0711 0.5717
Co3 0.4344 0.3595 0.8592
Co4 0.5656 0.6405 0.1408
Co5 0.7139 0.9289 0.4283
Co6 0.8573 0.2150 0.7154
O1 0.0063 0.7746 0.4911
O2 0.1482 0.5092 0.7854
O3 0.1510 0.0610 0.7790
O4 0.3026 0.8124 0.0899
O5 0.3167 0.3424 0.0663
O6 0.4207 0.0843 0.3688
O7 0.4327 0.6289 0.3469
O8 0.5673 0.3711 0.6531
O9 0.5793 0.9157 0.6312
O10 0.6833 0.6576 0.9337
O11 0.6974 0.1876 0.9101
O12 0.8490 0.9390 0.2210
O13 0.8518 0.4908 0.2146
O14 0.9937 0.2254 0.5089

Largest 10 diffraction maxima, most intense first, 2θ = 10–90°:
2θ 18.76, 4.730 Å, intensity 100
2θ 44.72, 2.027 Å, intensity 26
2θ 44.91, 2.018 Å, intensity 25
2θ 44.94, 2.017 Å, intensity 25
2θ 37.09, 2.424 Å, intensity 24
2θ 65.83, 1.419 Å, intensity 13
2θ 37.16, 2.419 Å, intensity 12
2θ 38.76, 2.323 Å, intensity 11
2θ 10.37, 8.531 Å, intensity 8
2θ 49.07, 1.856 Å, intensity 8